No. 1
This entry pairs a crystal structure of MgCo3 with its simulated powder XRD pattern. Radiation: Cu Kα (λ = 1.5418 Å). Structure: a cell relaxed with PBE.
Intensities are scaled so that the largest is 100.

Peak list (10 most intense, 2θ from 10° to 90°, sorted by position)
19.6°, intensity 16.7; 39.9°, intensity 24.6; 40.5°, intensity 12.3; 43.2°, intensity 39.4; 45.6°, intensity 100.0; 46.2°, intensity 47.6; 60.3°, intensity 13.3; 73.2°, intensity 14.2; 81.0°, intensity 16.4; 89.0°, intensity 16.7

Crystal structure
```
data_MgCo3
_chemical_formula_sum 'Mg4 Co12'
_space_group_name_H-M_alt 'C m c m'
_space_group_IT_number 63
_space_group_name_Hall '-C 2c 2'
_cell_length_a 5.2432
_cell_length_b 8.9137
_cell_length_c 4.1847
_cell_angle_alpha 90.00
_cell_angle_beta 90.00
_cell_angle_gamma 90.00
loop_
_atom_site_label
_atom_site_fract_x
_atom_site_fract_y
_atom_site_fract_z
Mg1 0.0000 0.0898 0.2500
Co1 0.0000 0.4141 0.7500
Co2 0.2426 0.3312 0.2500
```



No. 2
This entry pairs a crystal structure of Mg4Co with its simulated powder XRD pattern. Radiation: Cu Kα (λ = 1.5418 Å). Structure: a cell relaxed with PBE.
Intensities are scaled so that the largest is 100.

Peak list (10 most intense, 2θ from 10° to 90°, sorted by position)
13.9°, intensity 84.1; 16.3°, intensity 100.0; 35.2°, intensity 43.5; 36.4°, intensity 53.1; 38.4°, intensity 42.8; 38.6°, intensity 37.7; 43.7°, intensity 44.9; 45.2°, intensity 26.9; 46.3°, intensity 22.8; 69.9°, intensity 22.8

Crystal structure
```
data_Mg4Co
_chemical_formula_sum 'Mg16 Co4'
_space_group_name_H-M_alt 'I b a m'
_space_group_IT_number 72
_space_group_name_Hall '-I 2 2c'
_cell_length_a 6.0314
_cell_length_b 12.7295
_cell_length_c 5.1646
_cell_angle_alpha 90.00
_cell_angle_beta 90.00
_cell_angle_gamma 90.00
loop_
_atom_site_label
_atom_site_fract_x
_atom_site_fract_y
_atom_site_fract_z
Mg1 0.1480 0.1731 0.0000
Mg2 0.1652 0.4162 0.0000
Co1 0.0000 0.0000 0.2500
```



No. 3
This entry pairs a crystal structure of Mg6Co with its simulated powder XRD pattern. Radiation: Cu Kα (λ = 1.5418 Å). Structure: a cell relaxed with PBE.
Intensities are scaled so that the largest is 100.

Peak list (10 most intense, 2θ from 10° to 90°, sorted by position)
15.9°, intensity 16.8; 18.3°, intensity 33.4; 24.3°, intensity 51.5; 35.9°, intensity 100.0; 37.0°, intensity 16.2; 37.3°, intensity 22.5; 46.0°, intensity 42.7; 52.5°, intensity 13.6; 56.9°, intensity 24.7; 59.8°, intensity 18.7

Crystal structure
```
data_Mg6Co
_chemical_formula_sum 'Mg6 Co1'
_space_group_name_H-M_alt 'P -3 1 m'
_space_group_IT_number 162
_space_group_name_Hall '-P 3 2'
_cell_length_a 5.6054
_cell_length_b 5.6054
_cell_length_c 5.5639
_cell_angle_alpha 90.00
_cell_angle_beta 90.00
_cell_angle_gamma 120.00
loop_
_atom_site_label
_atom_site_fract_x
_atom_site_fract_y
_atom_site_fract_z
Mg1 0.0000 0.3547 0.2407
Co1 0.0000 0.0000 0.5000
```